LaMn2Pb: simulated PXRD pattern (copper Kα), based on a DFT-relaxed cell (GGA-PBE, Alexandria).
Neutral-atom scattering factors, no anomalous dispersion.

Main lines, low angle first (2θ from 10° to 90°):
2theta, intensity, hkl
28.67, 64, 0 1 1
29.00, 62, 1 0 1
34.09, 43, 0 0 3
34.91, 85, 0 1 2
35.18, 83, 1 0 2
37.80, 100, 1 1 0
51.81, 53, 1 1 3
66.22, 39, 1 2 2

Crystal structure
a = 3.3441 Å, b = 3.3886 Å, c = 7.8892 Å
α = 90.00°, β = 90.00°, γ = 90.00°
Space group Pmm2 (No. 25)
Symmetry-distinct sites (fractional):
1 La 0.0000 0.0000 0.0000 x1
2 Mn 0.0000 0.0000 0.4180 x1
3 Mn 0.5000 0.5000 0.2775 x1
4 Pb 0.5000 0.5000 0.6609 x1